[1]
# InGaAs2
Theoretical powder diffraction line list, Cu Kα, 1.54184 Å. Input: the PBE geometry in the Materials Project.
Intensities are scaled so that the largest is 100.

abc: 4.2250 4.2250 5.9621
angles: 90.00 90.00 90.00
Space group P-4m2 (No. 115)
Asymmetric unit:
In: 0.0000 0.0000 0.0000 x1
Ga: 0.5000 0.5000 0.5000 x1
As: 0.0000 0.5000 0.7315 x2

Top 10 peaks for 10° ≤ 2θ ≤ 90°, in order of rising 2θ:
hkl 1 0 1, 3.447 Å, I 100
hkl 1 1 1, 2.671 Å, I 3
hkl 2 0 0, 2.111 Å, I 75
hkl 2 1 1, 1.800 Å, I 45
hkl 2 2 0, 1.494 Å, I 8
hkl 0 0 4, 1.491 Å, I 4
hkl 3 0 1, 1.370 Å, I 18
hkl 3 1 2, 1.219 Å, I 16
hkl 2 0 4, 1.218 Å, I 7
hkl 3 2 1, 1.150 Å, I 10

[2]
# InGaAs2
Theoretical powder diffraction line list, Cu Kα, 1.54184 Å. Input: the PBE geometry in the Materials Project.
Intensities are scaled so that the largest is 100.

abc: 4.2288 4.2288 20.7015
angles: 90.00 90.00 120.00
Space group R3m (No. 160, hexagonal axes)
Asymmetric unit:
In: 0.0000 0.0000 0.0000 x3
Ga: 0.0000 0.0000 0.4999 x3
As: 0.0000 0.0000 0.3799 x3
As: 0.0000 0.0000 0.8707 x3

Top 10 peaks for 10° ≤ 2θ ≤ 90°, in order of rising 2θ:
hkl 0 0 3, 6.901 Å, I 3
hkl 1 0 1, 3.606 Å, I 2
hkl 0 1 2, 3.452 Å, I 100
hkl 0 1 5, 2.743 Å, I 3
hkl 1 1 0, 2.114 Å, I 75
hkl 2 0 2, 1.803 Å, I 46
hkl 2 0 8, 1.495 Å, I 12
hkl 1 2 2, 1.372 Å, I 18
hkl 3 0 0, 1.220 Å, I 24
hkl 2 1 10, 1.151 Å, I 13

[3]
# InGa5As4
Theoretical powder diffraction line list, Cu Kα, 1.54184 Å. Input: the PBE geometry in the Materials Project.
Intensities are scaled so that the largest is 100.

abc: 4.1106 4.1106 52.0886
angles: 90.00 90.00 120.00
Space group R3m (No. 160, hexagonal axes)
Asymmetric unit:
In: 0.0000 0.0000 0.0000 x3
Ga: 0.0000 0.0000 0.0520 x3
Ga: 0.0000 0.0000 0.2417 x3
Ga: 0.0000 0.0000 0.4487 x3
Ga: 0.0000 0.0000 0.6379 x3
Ga: 0.0000 0.0000 0.8452 x3
As: 0.0000 0.0000 0.1941 x3
As: 0.0000 0.0000 0.4011 x3
As: 0.0000 0.0000 0.5912 x3
As: 0.0000 0.0000 0.7974 x3

Top 10 peaks for 10° ≤ 2θ ≤ 90°, in order of rising 2θ:
hkl 0 0 15, 3.473 Å, I 24
hkl 0 1 5, 3.369 Å, I 100
hkl 0 1 20, 2.102 Å, I 37
hkl 1 1 0, 2.055 Å, I 47
hkl 1 0 25, 1.798 Å, I 13
hkl 1 1 15, 1.769 Å, I 21
hkl 2 0 5, 1.755 Å, I 15
hkl 2 0 20, 1.470 Å, I 11
hkl 1 2 5, 1.334 Å, I 12
hkl 1 2 20, 1.195 Å, I 12

[4]
# K2LiGaAs2
Theoretical powder diffraction line list, Cu Kα, 1.54184 Å. Input: the PBE geometry in the Materials Project.
Intensities are scaled so that the largest is 100.

abc: 12.5896 15.5603 6.2853
angles: 90.00 90.00 90.00
Space group Cmce (No. 64)
Asymmetric unit:
K: 0.0000 0.1706 0.2196 x8
K: 0.2500 0.1722 0.7500 x8
Li: 0.1201 0.0000 0.0000 x8
Ga: 0.1315 0.0000 0.5000 x8
As: 0.0000 0.0927 0.7128 x8
As: 0.2500 0.0930 0.2500 x8

Top 10 peaks for 10° ≤ 2θ ≤ 90°, in order of rising 2θ:
hkl 0 2 0, 7.780 Å, I 64
hkl 1 1 1, 5.289 Å, I 40
hkl 2 2 1, 3.861 Å, I 30
hkl 4 0 0, 3.145 Å, I 42
hkl 2 4 1, 2.928 Å, I 100
hkl 4 4 0, 2.446 Å, I 80
hkl 4 0 2, 2.224 Å, I 60
hkl 2 8 1, 1.782 Å, I 29
hkl 6 4 1, 1.771 Å, I 38
hkl 6 8 1, 1.391 Å, I 22

[5]
# KGaAs2O7
Theoretical powder diffraction line list, Cu Kα, 1.54184 Å. Input: the PBE geometry in the Materials Project.
Intensities are scaled so that the largest is 100.

abc: 6.3892 6.4828 8.3541
angles: 96.53 103.90 103.70
Space group P-1 (No. 2)
Asymmetric unit:
K: 0.0000 0.0000 0.0000 x1
K: 0.0000 0.0000 0.5000 x1
Ga: 0.3751 0.6911 0.2249 x2
As: 0.1748 0.4662 0.8103 x2
As: 0.4825 0.2458 0.3347 x2
O: 0.0906 0.6973 0.2812 x2
O: 0.2072 0.6529 0.9799 x2
O: 0.2308 0.6159 0.6473 x2
O: 0.3092 0.3753 0.2216 x2
O: 0.3347 0.2883 0.8302 x2
O: 0.4260 0.0011 0.2126 x2
O: 0.4451 0.2372 0.5289 x2

Top 10 peaks for 10° ≤ 2θ ≤ 90°, in order of rising 2θ:
hkl 0 1 0, 6.195 Å, I 59
hkl 1 0 0, 5.965 Å, I 45
hkl 1 -1 1, 4.104 Å, I 33
hkl 0 0 2, 3.988 Å, I 66
hkl 1 1 -2, 3.263 Å, I 45
hkl 1 -2 0, 3.120 Å, I 66
hkl 0 1 2, 3.107 Å, I 82
hkl 2 0 -1, 3.086 Å, I 100
hkl 2 -1 0, 3.032 Å, I 32
hkl 0 2 -3, 2.225 Å, I 27

[6]
# Na2LiGaAs2
Theoretical powder diffraction line list, Cu Kα, 1.54184 Å. Input: the PBE geometry in the Materials Project.
Intensities are scaled so that the largest is 100.

abc: 12.1664 14.1621 5.9222
angles: 90.00 90.00 90.00
Space group Cmce (No. 64)
Asymmetric unit:
Na: 0.0000 0.1759 0.2206 x8
Na: 0.2500 0.1778 0.7500 x8
Li: 0.1194 0.0000 0.0000 x8
Ga: 0.1314 0.0000 0.5000 x8
As: 0.0000 0.1069 0.7186 x8
As: 0.2500 0.1072 0.2500 x8

Top 10 peaks for 10° ≤ 2θ ≤ 90°, in order of rising 2θ:
hkl 0 2 0, 7.081 Å, I 67
hkl 1 1 1, 4.984 Å, I 54
hkl 2 2 1, 3.640 Å, I 100
hkl 0 4 0, 3.536 Å, I 25
hkl 0 2 2, 2.731 Å, I 23
hkl 2 4 1, 2.719 Å, I 49
hkl 4 4 0, 2.307 Å, I 62
hkl 0 4 2, 2.271 Å, I 57
hkl 4 0 2, 2.122 Å, I 69
hkl 2 6 1, 2.063 Å, I 32